# 1
Structure and calculated PXRD pattern of Pm12Nd2Sm5 (the PBE geometry in Alexandria; Cu Ka).
Intensities are scaled so that the largest is 100.

a = 9.601 Å, b = 9.601 Å, c = 11.488 Å
α = 126.73°, β = 126.73°, γ = 64.46°
Positions (direct):
Pm: 0.050 0.550 0.401
Pm: 0.097 0.097 0.298
Pm: 0.147 0.649 0.197
Pm: 0.351 0.853 0.803
Pm: 0.397 0.397 0.700
Pm: 0.450 0.950 0.599
Pm: 0.550 0.050 0.401
Pm: 0.603 0.603 0.300
Pm: 0.649 0.147 0.197
Pm: 0.853 0.351 0.803
Pm: 0.903 0.903 0.702
Pm: 0.950 0.450 0.599
Nd: 0.250 0.750 0.000
Nd: 0.750 0.250 0.000
Sm: 0.000 0.000 0.500
Sm: 0.198 0.198 0.095
Sm: 0.299 0.299 0.897
Sm: 0.701 0.701 0.103
Sm: 0.802 0.802 0.905

Peak list (10 most intense, 2θ from 10° to 90°, by angle)
d = 2.963 Å, intensity 100; d = 2.569 Å, intensity 34; d = 2.560 Å, intensity 17; d = 1.814 Å, intensity 36; d = 1.549 Å, intensity 29; d = 1.545 Å, intensity 14; d = 1.481 Å, intensity 12; d = 1.178 Å, intensity 6; d = 1.177 Å, intensity 12; d = 1.148 Å, intensity 11


# 2
Structure and calculated PXRD pattern of Pm5Nd2Sm4 (the PBE geometry in Alexandria; Cu Ka).
Intensities are scaled so that the largest is 100.

a = 7.104 Å, b = 7.104 Å, c = 10.839 Å
α = 119.77°, β = 119.77°, γ = 58.70°
Positions (direct):
Pm: 0.000 0.000 0.000
Pm: 0.226 0.767 0.332
Pm: 0.233 0.774 0.668
Pm: 0.767 0.226 0.332
Pm: 0.774 0.233 0.668
Nd: 0.276 0.276 0.679
Nd: 0.724 0.724 0.321
Sm: 0.279 0.279 0.350
Sm: 0.307 0.307 0.008
Sm: 0.693 0.693 0.992
Sm: 0.721 0.721 0.650

Peak list (10 most intense, 2θ from 10° to 90°, by angle)
d = 3.482 Å, intensity 23; d = 3.048 Å, intensity 69; d = 2.970 Å, intensity 84; d = 2.923 Å, intensity 63; d = 2.873 Å, intensity 100; d = 2.544 Å, intensity 35; d = 2.507 Å, intensity 75; d = 1.796 Å, intensity 21; d = 1.741 Å, intensity 33; d = 1.502 Å, intensity 20


# 3
Structure and calculated PXRD pattern of Pm3NdSm2 (the PBE geometry in Alexandria; Cu Ka).
Intensities are scaled so that the largest is 100.

a = 7.729 Å, b = 7.729 Å, c = 6.826 Å
α = 90.00°, β = 90.00°, γ = 90.06°
Positions (direct):
Pm: 0.097 0.903 0.750
Pm: 0.250 0.250 0.000
Pm: 0.250 0.250 0.500
Pm: 0.750 0.750 0.000
Pm: 0.750 0.750 0.500
Pm: 0.903 0.097 0.250
Nd: 0.401 0.599 0.750
Nd: 0.599 0.401 0.250
Sm: 0.096 0.596 0.250
Sm: 0.404 0.904 0.250
Sm: 0.596 0.096 0.750
Sm: 0.904 0.404 0.750

Peak list (10 most intense, 2θ from 10° to 90°, by angle)
d = 3.084 Å, intensity 100; d = 2.895 Å, intensity 49; d = 2.558 Å, intensity 36; d = 2.444 Å, intensity 49; d = 1.901 Å, intensity 25; d = 1.682 Å, intensity 23; d = 1.607 Å, intensity 25; d = 1.405 Å, intensity 14; d = 1.399 Å, intensity 17; d = 1.214 Å, intensity 14